Entry 1:
For BeCu5Pd8, DFT lattice parameters and positions (GGA-PBE) gives the computed powder diffraction line list in this record (λ = 1.5418 Å (Cu Kα)).

Atomic structure:
abc: 6.3844 6.3844 6.3844
angles: 110.74 110.74 106.95
Fractional coordinates of all 14 atoms:
Be: 0.0000 0.0000 0.0000
Cu: 0.2169 0.5394 0.9034
Cu: 0.2500 0.7500 0.5000
Cu: 0.4606 0.3640 0.6775
Cu: 0.6360 0.3135 0.0966
Cu: 0.6865 0.7831 0.3225
Pd: 0.1579 0.0659 0.7460
Pd: 0.3199 0.4119 0.2540
Pd: 0.4176 0.0227 0.2510
Pd: 0.5881 0.8421 0.9080
Pd: 0.7717 0.1666 0.7490
Pd: 0.8334 0.5824 0.6050
Pd: 0.9341 0.6801 0.0920
Pd: 0.9773 0.2283 0.3950

The 6 most intense peaks (5 to 70 degrees two-theta), low angle first:
2.392 Å, 2θ 37.61, rel. 74; 2.305 Å, 2θ 39.08, rel. 67; 2.294 Å, 2θ 39.27, rel. 92; 1.997 Å, 2θ 45.42, rel. 100; 1.964 Å, 2θ 46.22, rel. 46; 1.945 Å, 2θ 46.69, rel. 57



Entry 2:
For Tm2Nb3Ga4, DFT lattice parameters and positions (GGA-PBE) gives the computed powder diffraction line list in this record (λ = 1.5418 Å (Cu Kα)).

Atomic structure:
abc: 7.3072 7.1293 7.0773
angles: 90.00 109.56 90.00
Fractional coordinates of all 18 atoms:
Tm: 0.1907 0.1598 0.0646
Tm: 0.1907 0.3402 0.5646
Tm: 0.8093 0.6598 0.4354
Tm: 0.8093 0.8402 0.9354
Nb: 0.2603 0.6871 0.2477
Nb: 0.2603 0.8129 0.7477
Nb: 0.5000 0.0000 0.5000
Nb: 0.5000 0.5000 0.0000
Nb: 0.7397 0.1871 0.2523
Nb: 0.7397 0.3129 0.7523
Ga: 0.0785 0.5394 0.8654
Ga: 0.0785 0.9606 0.3654
Ga: 0.4844 0.1264 0.8653
Ga: 0.4844 0.3736 0.3653
Ga: 0.5156 0.6264 0.6347
Ga: 0.5156 0.8736 0.1347
Ga: 0.9215 0.0394 0.6346
Ga: 0.9215 0.4606 0.1346

The 6 most intense peaks (5 to 70 degrees two-theta), low angle first:
2.703 Å, 2θ 33.14, rel. 41; 2.530 Å, 2θ 35.48, rel. 100; 2.500 Å, 2θ 35.93, rel. 90; 2.476 Å, 2θ 36.28, rel. 33; 2.281 Å, 2θ 39.51, rel. 32; 2.239 Å, 2θ 40.28, rel. 95



Entry 3:
For CaSmAl, DFT lattice parameters and positions (GGA-PBE) gives the computed powder diffraction line list in this record (λ = 1.5418 Å (Cu Kα)).

Atomic structure:
abc: 5.3686 5.3686 6.7795
angles: 90.00 90.00 120.00
Fractional coordinates of all 6 atoms:
Ca: 0.0000 0.0000 0.0000
Ca: 0.0000 0.0000 0.5000
Sm: 0.3333 0.6667 0.2500
Sm: 0.6667 0.3333 0.7500
Al: 0.3333 0.6667 0.7500
Al: 0.6667 0.3333 0.2500

The 6 most intense peaks (5 to 70 degrees two-theta), low angle first:
3.834 Å, 2θ 23.20, rel. 100; 2.739 Å, 2θ 32.69, rel. 65; 2.684 Å, 2θ 33.38, rel. 86; 2.199 Å, 2θ 41.05, rel. 23; 2.104 Å, 2θ 42.98, rel. 33; 1.433 Å, 2θ 65.09, rel. 24



Entry 4:
For NdNp4P5, DFT lattice parameters and positions (GGA-PBE) gives the computed powder diffraction line list in this record (λ = 1.5418 Å (Cu Kα)).

Atomic structure:
abc: 10.5824 10.5824 10.5824
angles: 158.19 148.96 38.26
Fractional coordinates of all 10 atoms:
Nd: 0.0000 0.0000 0.0000
Np: 0.2026 0.2026 0.0000
Np: 0.4002 0.4002 0.0000
Np: 0.5998 0.5998 0.0000
Np: 0.7974 0.7974 0.0000
P: 0.1065 0.6065 0.5000
P: 0.3016 0.8016 0.5000
P: 0.5000 0.0000 0.5000
P: 0.6984 0.1984 0.5000
P: 0.8935 0.3935 0.5000

The 6 most intense peaks (5 to 70 degrees two-theta), low angle first:
3.268 Å, 2θ 27.29, rel. 100; 2.830 Å, 2θ 31.61, rel. 94; 2.001 Å, 2θ 45.31, rel. 70; 1.707 Å, 2θ 53.70, rel. 50; 1.634 Å, 2θ 56.30, rel. 25; 1.415 Å, 2θ 66.02, rel. 11



Entry 5:
For Ca2PmNpP4, DFT lattice parameters and positions (GGA-PBE) gives the computed powder diffraction line list in this record (λ = 1.5418 Å (Cu Kα)).

Atomic structure:
abc: 7.0539 4.1020 7.0733
angles: 90.00 109.35 90.00
Fractional coordinates of all 8 atoms:
Ca: 0.0000 0.0000 0.0000
Ca: 0.0000 0.5000 0.5000
Pm: 0.5000 0.0000 0.5000
Np: 0.5000 0.5000 0.0000
P: 0.2676 0.5000 0.2377
P: 0.2734 0.0000 0.7706
P: 0.7266 0.0000 0.2294
P: 0.7324 0.5000 0.7623

The 6 most intense peaks (5 to 70 degrees two-theta), low angle first:
6.657 Å, 2θ 13.30, rel. 100; 3.494 Å, 2θ 25.49, rel. 40; 3.340 Å, 2θ 26.69, rel. 68; 2.894 Å, 2θ 30.90, rel. 95; 2.882 Å, 2θ 31.03, rel. 46; 2.042 Å, 2θ 44.36, rel. 84



Entry 6:
For PaCuAs3, DFT lattice parameters and positions (GGA-PBE) gives the computed powder diffraction line list in this record (λ = 1.5418 Å (Cu Kα)).

Atomic structure:
abc: 11.9639 5.7655 5.6331
angles: 90.00 90.00 90.00
Fractional coordinates of all 20 atoms:
Pa: 0.1908 0.0045 0.2500
Pa: 0.1908 0.4955 0.7500
Pa: 0.8092 0.5045 0.2500
Pa: 0.8092 0.9955 0.7500
Cu: 0.4089 0.7500 0.0000
Cu: 0.4089 0.7500 0.5000
Cu: 0.5911 0.2500 0.0000
Cu: 0.5911 0.2500 0.5000
As: 0.0001 0.2500 0.0000
As: 0.0001 0.2500 0.5000
As: 0.9999 0.7500 0.0000
As: 0.9999 0.7500 0.5000
As: 0.2464 0.5075 0.2500
As: 0.2464 0.9925 0.7500
As: 0.4282 0.1042 0.2500
As: 0.4282 0.3958 0.7500
As: 0.5718 0.6042 0.2500
As: 0.5718 0.8958 0.7500
As: 0.7536 0.0075 0.2500
As: 0.7536 0.4925 0.7500

The 6 most intense peaks (5 to 70 degrees two-theta), low angle first:
3.818 Å, 2θ 23.30, rel. 100; 2.597 Å, 2θ 34.54, rel. 84; 2.548 Å, 2θ 35.22, rel. 64; 2.402 Å, 2θ 37.45, rel. 92; 2.335 Å, 2θ 38.55, rel. 60; 2.015 Å, 2θ 45.00, rel. 78



Entry 7:
For Cs2LiF2, DFT lattice parameters and positions (GGA-PBE) gives the computed powder diffraction line list in this record (λ = 1.5418 Å (Cu Kα)).

Atomic structure:
abc: 9.9443 9.9443 9.9443
angles: 121.16 66.93 150.99
Fractional coordinates of all 10 atoms:
Cs: 0.1190 0.2432 0.3622
Cs: 0.3810 0.7432 0.1242
Cs: 0.6190 0.2568 0.8758
Cs: 0.8810 0.7568 0.6378
Li: 0.2500 0.2500 0.0000
Li: 0.7500 0.7500 0.0000
F: 0.0550 0.8912 0.9462
F: 0.4450 0.3912 0.8362
F: 0.5550 0.6088 0.1638
F: 0.9450 0.1088 0.0538

The 6 most intense peaks (5 to 70 degrees two-theta), low angle first:
4.885 Å, 2θ 18.16, rel. 43; 4.148 Å, 2θ 21.42, rel. 29; 3.913 Å, 2θ 22.72, rel. 100; 3.162 Å, 2θ 28.22, rel. 34; 2.590 Å, 2θ 34.64, rel. 45; 2.347 Å, 2θ 38.35, rel. 32



Entry 8:
For Pa2OsO8, DFT lattice parameters and positions (GGA-PBE) gives the computed powder diffraction line list in this record (λ = 1.5418 Å (Cu Kα)).

Atomic structure:
abc: 4.4600 5.5313 6.8859
angles: 81.61 74.06 79.49
Fractional coordinates of all 11 atoms:
Pa: 0.1662 0.0266 0.2212
Pa: 0.8338 0.9734 0.7788
Os: 0.0000 0.5000 0.5000
O: 0.0491 0.5943 0.7473
O: 0.2105 0.1453 0.5161
O: 0.3059 0.9460 0.9068
O: 0.3441 0.6511 0.3312
O: 0.6559 0.3489 0.6688
O: 0.6941 0.0540 0.0932
O: 0.7895 0.8547 0.4839
O: 0.9509 0.4057 0.2527

The 6 most intense peaks (5 to 70 degrees two-theta), low angle first:
4.240 Å, 2θ 20.95, rel. 70; 4.069 Å, 2θ 21.84, rel. 100; 2.949 Å, 2θ 30.31, rel. 56; 2.843 Å, 2θ 31.47, rel. 59; 2.705 Å, 2θ 33.11, rel. 50; 2.691 Å, 2θ 33.29, rel. 56



Entry 9:
For KCoCu2, DFT lattice parameters and positions (GGA-PBE) gives the computed powder diffraction line list in this record (λ = 1.5418 Å (Cu Kα)).

Atomic structure:
abc: 3.0005 3.0005 7.8322
angles: 90.00 90.00 90.00
Fractional coordinates of all 4 atoms:
K: 0.0000 0.0000 0.0000
Co: 0.5000 0.5000 0.3323
Cu: 0.0000 0.0000 0.4968
Cu: 0.5000 0.5000 0.6633

The 6 most intense peaks (5 to 70 degrees two-theta), low angle first:
7.832 Å, 2θ 11.30, rel. 100; 2.382 Å, 2θ 37.77, rel. 76; 2.122 Å, 2θ 42.61, rel. 51; 1.970 Å, 2θ 46.09, rel. 36; 1.640 Å, 2θ 56.09, rel. 23; 1.500 Å, 2θ 61.84, rel. 15